Structure and computed X-ray diffraction stick pattern of Rb2PrCo2O6 (a DFT-relaxed cell (GGA+U, Alexandria); Cu Ka).
Peak positions follow from Bragg's law for the DFT cell and can differ from measured ones.

Top 10 peaks for 10 to 90 degrees two-theta, in order of rising 2θ:
19.1°, d = 4.650 Å, intensity 15, hkl 0 1 2; 25.6°, d = 3.474 Å, intensity 32, hkl 1 0 4; 28.5°, d = 3.129 Å, intensity 100, hkl 1 1 0; 29.7°, d = 3.011 Å, intensity 80, hkl 0 1 5; 38.7°, d = 2.325 Å, intensity 29, hkl 0 2 4; 41.6°, d = 2.169 Å, intensity 27, hkl 2 0 5; 50.5°, d = 1.806 Å, intensity 20, hkl 3 0 0; 51.2°, d = 1.783 Å, intensity 29, hkl 1 2 5; 54.2°, d = 1.692 Å, intensity 30, hkl 1 1 9; 59.1°, d = 1.564 Å, intensity 20, hkl 2 2 0

Atomic structure:
```
data_Rb2PrCo2O6
_chemical_formula_sum 'Rb6 Pr3 Co6 O18'
_symmetry_space_group_name_H-M 'R -3 m'
_symmetry_Int_Tables_number 166
_symmetry_space_group_name_Hall '-R 3 2"'
_cell_length_a 6.2573
_cell_length_b 6.2573
_cell_length_c 18.1073
_cell_angle_alpha 90.00
_cell_angle_beta 90.00
_cell_angle_gamma 120.00
loop_
_atom_site_label
_atom_site_fract_x
_atom_site_fract_y
_atom_site_fract_z
Rb1 0.0000 0.0000 0.2182
Pr1 0.0000 0.0000 0.0000
Co1 0.0000 0.0000 0.4290
O1 0.0144 0.5072 0.2522
```